This entry pairs a crystal structure of PmCo2B6 with its computed powder XRD pattern. Radiation: Cu Kα (λ = 1.5418 Å). Structure: the GGA-PBE geometry in Alexandria.
Intensities are scaled so that the largest is 100.

Structure:
```
9
Lattice="-1.5872 3.1340 4.1195 1.5872 -3.1340 4.1195 1.5872 3.1340 -4.1195" Properties=species:S:1:pos:R:3 pbc="T T T"
Pm 0.0000 0.0000 0.0000
Co 1.5872 0.0000 2.7970
Co 0.0000 3.1340 1.3225
B 1.5872 1.6753 -1.6179
B 1.5872 2.2543 0.0000
B 1.5872 1.6753 1.6179
B 0.0000 1.4587 2.5015
B 0.0000 0.8796 4.1195
B 0.0000 1.4587 5.7374
```

The 12 most intense peaks (2θ = 15–90°), in order of rising 2θ:
2θ (°), d_spacing, I_rel
17.78, 4.988, 33.6
28.48, 3.134, 71.8
30.17, 2.962, 77.0
35.69, 2.515, 99.7
36.01, 2.494, 18.4
38.58, 2.334, 100.0
41.97, 2.153, 92.7
55.14, 1.666, 43.9
55.24, 1.663, 29.8
57.34, 1.607, 27.3
67.64, 1.385, 20.2
70.10, 1.342, 26.2